This entry pairs a crystal structure of MgSiO3 with its simulated powder XRD pattern. Radiation: CuKα. Structure: a GGA-PBE-relaxed structure.
Kinematic intensities with the Lorentz-polarization factor, no thermal factor.

The 10 most intense peaks (2θ from 15° to 90°), most intense first:
28.74°, intensity 100.0
30.22°, intensity 41.9
36.33°, intensity 41.6
41.08°, intensity 31.8
27.66°, intensity 29.4
54.63°, intensity 28.8
27.03°, intensity 20.3
55.43°, intensity 18.6
67.65°, intensity 16.7
45.97°, intensity 13.8

Atomic structure:
```
data_MgSiO3
_symmetry_space_group_name_H-M 'C 1 2/c 1'
_symmetry_Int_Tables_number 15
_symmetry_space_group_name_Hall '-C 2yc'
_cell_length_a 10.214
_cell_length_b 8.857
_cell_length_c 5.367
_cell_angle_alpha 90.00
_cell_angle_beta 112.87
_cell_angle_gamma 90.00
loop_
_atom_site_label
_atom_site_type_symbol
_atom_site_fract_x
_atom_site_fract_y
_atom_site_fract_z
_atom_site_occupancy
Mg1 Mg 0.000 0.101 0.250 1
Mg2 Mg 0.000 0.261 0.750 1
Si1 Si 0.208 0.411 0.199 1
O1 O 0.118 0.093 0.666 1
O2 O 0.120 0.256 0.156 1
O3 O 0.153 0.467 0.874 1
```

This entry pairs a crystal structure of Mg2SiO4 with its simulated powder XRD pattern. Radiation: CuKα. Structure: a GGA-PBE-relaxed structure.
Kinematic intensities with the Lorentz-polarization factor, no thermal factor.

The 10 most intense peaks (2θ from 15° to 90°), most intense first:
31.45°, intensity 100.0
32.44°, intensity 44.2
63.57°, intensity 26.0
37.25°, intensity 18.6
18.38°, intensity 17.8
48.59°, intensity 15.3
49.29°, intensity 11.2
59.44°, intensity 11.2
65.64°, intensity 9.9
51.94°, intensity 9.8

Atomic structure:
```
data_Mg2SiO4
_symmetry_space_group_name_H-M 'I -4 2 d'
_symmetry_Int_Tables_number 122
_symmetry_space_group_name_Hall 'I -4 2bw'
_cell_length_a 7.042
_cell_length_b 7.042
_cell_length_c 6.631
_cell_angle_alpha 90.00
_cell_angle_beta 90.00
_cell_angle_gamma 90.00
loop_
_atom_site_label
_atom_site_type_symbol
_atom_site_fract_x
_atom_site_fract_y
_atom_site_fract_z
_atom_site_occupancy
Mg1 Mg 0.158 0.250 0.125 1
Si1 Si 0.000 0.000 0.500 1
O1 O 0.008 0.694 0.891 1
```

This entry pairs a crystal structure of MgSiO6 with its simulated powder XRD pattern. Radiation: CuKα. Structure: a GGA-PBE-relaxed structure.
Kinematic intensities with the Lorentz-polarization factor, no thermal factor.

The 10 most intense peaks (2θ from 15° to 90°), most intense first:
23.97°, intensity 100.0
49.08°, intensity 23.9
55.65°, intensity 10.3
55.00°, intensity 9.0
52.79°, intensity 5.5
21.45°, intensity 4.9
39.56°, intensity 4.8
57.89°, intensity 4.4
20.17°, intensity 3.1
72.50°, intensity 3.1

Atomic structure:
```
data_MgSiO6
_symmetry_space_group_name_H-M 'P 1 21/c 1'
_symmetry_Int_Tables_number 14
_symmetry_space_group_name_Hall '-P 2ybc'
_cell_length_a 5.550
_cell_length_b 4.989
_cell_length_c 9.184
_cell_angle_alpha 90.00
_cell_angle_beta 125.96
_cell_angle_gamma 90.00
loop_
_atom_site_label
_atom_site_type_symbol
_atom_site_fract_x
_atom_site_fract_y
_atom_site_fract_z
_atom_site_occupancy
Mg1 Mg 0.000 0.000 0.000 1
Si1 Si 0.500 0.000 0.500 1
O1 O 0.188 0.172 0.450 1
O2 O 0.285 0.729 0.480 1
O3 O 0.329 0.046 0.272 1
```

This entry pairs a crystal structure of Mg3SiO4 with its simulated powder XRD pattern. Radiation: CuKα. Structure: a GGA-PBE-relaxed structure.
Kinematic intensities with the Lorentz-polarization factor, no thermal factor.

The 6 most intense peaks (2θ from 15° to 90°), most intense first:
41.36°, intensity 100.0
59.92°, intensity 57.2
75.42°, intensity 17.5
35.61°, intensity 11.1
89.86°, intensity 8.0
71.69°, intensity 7.9

Atomic structure:
```
data_Mg3SiO4
_symmetry_space_group_name_H-M 'P m -3 m'
_symmetry_Int_Tables_number 221
_symmetry_space_group_name_Hall '-P 4 2 3'
_cell_length_a 4.366
_cell_length_b 4.366
_cell_length_c 4.366
_cell_angle_alpha 90.00
_cell_angle_beta 90.00
_cell_angle_gamma 90.00
loop_
_atom_site_label
_atom_site_type_symbol
_atom_site_fract_x
_atom_site_fract_y
_atom_site_fract_z
_atom_site_occupancy
Mg1 Mg 0.000 0.000 0.500 1
Si1 Si 0.500 0.500 0.500 1
O1 O 0.000 0.000 0.000 1
O2 O 0.000 0.500 0.500 1
```

This entry pairs a crystal structure of Mg2SiO4 with its simulated powder XRD pattern. Radiation: CuKα. Structure: a GGA-PBE-relaxed structure.
Kinematic intensities with the Lorentz-polarization factor, no thermal factor.

The 10 most intense peaks (2θ from 15° to 90°), most intense first:
44.21°, intensity 100.0
34.09°, intensity 91.6
47.39°, intensity 82.8
42.66°, intensity 47.6
66.44°, intensity 40.9
59.74°, intensity 29.1
65.97°, intensity 28.2
43.11°, intensity 28.1
62.19°, intensity 27.6
66.81°, intensity 27.4

Atomic structure:
```
data_Mg2SiO4
_symmetry_space_group_name_H-M 'C m c 21'
_symmetry_Int_Tables_number 36
_symmetry_space_group_name_Hall 'C 2c -2'
_cell_length_a 2.800
_cell_length_b 9.506
_cell_length_c 9.471
_cell_angle_alpha 90.00
_cell_angle_beta 90.00
_cell_angle_gamma 90.00
loop_
_atom_site_label
_atom_site_type_symbol
_atom_site_fract_x
_atom_site_fract_y
_atom_site_fract_z
_atom_site_occupancy
Mg1 Mg 0.000 0.108 0.000 1
Mg2 Mg 0.000 0.360 0.831 1
Si1 Si 0.000 0.373 0.186 1
O1 O 0.000 0.005 0.747 1
O2 O 0.000 0.247 0.640 1
O3 O 0.000 0.296 0.358 1
O4 O 0.000 0.455 0.023 1
```